For CeY4In2, a PBE-relaxed structure gives the computed PXRD pattern in this record (Cu Kα, 1.54184 Å).
Peak positions follow from Bragg's law for the DFT cell and can differ from measured ones.

Largest 6 diffraction maxima, in order of rising 2θ, 2θ from 10° to 80°:
| 2theta | I (rel.) | hkl |
| --- | --- | --- |
| 26.8 | 26 | 0 2 0 |
| 29.4 | 29 | 1 2 0 |
| 31.3 | 45 | 1 0 2 |
| 32.7 | 100 | 2 0 -3 |
| 34.3 | 26 | 1 2 -2 |
| 65.7 | 26 | 2 4 -3 |

Atomic structure:
Cell lengths 8.301, 6.658, 8.446 Å; angles 90.00, 117.17, 90.00 degrees
Space group P2_1/m (No. 11)
Inequivalent atoms, fractional coordinates:
Ce  0.243  0.250  0.322 (multiplicity 2)
Y  0.035  0.750  0.527 (multiplicity 2)
Y  0.102  0.250  0.899 (multiplicity 2)
Y  0.428  0.004  0.766 (multiplicity 4)
In  0.202  0.750  0.961 (multiplicity 2)
In  0.333  0.750  0.393 (multiplicity 2)

For BaAc4Mg, a PBE-relaxed structure gives the computed PXRD pattern in this record (Cu Kα, 1.54184 Å).
Peak positions follow from Bragg's law for the DFT cell and can differ from measured ones.

Largest 6 diffraction maxima, in order of rising 2θ, 2θ from 10° to 80°:
| 2theta | I (rel.) | hkl |
| --- | --- | --- |
| 14.7 | 55 | 1 1 1 |
| 28.3 | 100 | 3 1 1 |
| 29.6 | 76 | 2 2 2 |
| 45.0 | 39 | 5 1 1 |
| 49.2 | 39 | 4 4 0 |
| 58.5 | 34 | 6 2 2 |

Atomic structure:
Cell lengths 10.471, 10.471, 10.471 Å; angles 90.00, 90.00, 90.00 degrees
Space group F-43m (No. 216)
Inequivalent atoms, fractional coordinates:
Ba  0.000  0.000  0.000 (multiplicity 4)
Ac  0.124  0.124  0.624 (multiplicity 16)
Mg  0.250  0.250  0.250 (multiplicity 4)

For La3Br3N, a PBE-relaxed structure gives the computed PXRD pattern in this record (Cu Kα, 1.54184 Å).
Peak positions follow from Bragg's law for the DFT cell and can differ from measured ones.

Largest 6 diffraction maxima, in order of rising 2θ, 2θ from 10° to 80°:
| 2theta | I (rel.) | hkl |
| --- | --- | --- |
| 10.3 | 12 | 1 0 0 |
| 30.8 | 100 | 2 1 0 |
| 32.4 | 14 | 0 1 3 |
| 43.3 | 18 | 2 1 -4 |
| 44.9 | 19 | 2 1 4 |
| 46.1 | 13 | 0 2 0 |

Atomic structure:
Cell lengths 8.606, 3.938, 11.648 Å; angles 90.00, 92.88, 90.00 degrees
Space group P2_1/m (No. 11)
Inequivalent atoms, fractional coordinates:
La  0.087  0.250  0.396 (multiplicity 2)
La  0.123  0.250  0.833 (multiplicity 2)
La  0.314  0.750  0.621 (multiplicity 2)
Br  0.140  0.250  0.122 (multiplicity 2)
Br  0.380  0.750  0.363 (multiplicity 2)
Br  0.385  0.750  0.878 (multiplicity 2)
N  0.121  0.250  0.617 (multiplicity 2)

For AuSe4Br, a PBE-relaxed structure gives the computed PXRD pattern in this record (Cu Kα, 1.54184 Å).
Peak positions follow from Bragg's law for the DFT cell and can differ from measured ones.

Largest 6 diffraction maxima, in order of rising 2θ, 2θ from 10° to 80°:
| 2theta | I (rel.) | hkl |
| --- | --- | --- |
| 31.1 | 46 | 2 2 0 |
| 36.6 | 100 | 3 1 1 |
| 38.3 | 25 | 2 2 2 |
| 55.3 | 18 | 4 2 2 |
| 59.0 | 34 | 5 1 1 |
| 64.9 | 25 | 4 4 0 |

Atomic structure:
Cell lengths 8.132, 8.132, 8.132 Å; angles 90.00, 90.00, 90.00 degrees
Space group F-43m (No. 216)
Inequivalent atoms, fractional coordinates:
Au  0.000  0.000  0.000 (multiplicity 4)
Se  0.122  0.122  0.378 (multiplicity 16)
Br  0.250  0.250  0.750 (multiplicity 4)

For Dy6Te5C, a PBE-relaxed structure gives the computed PXRD pattern in this record (Cu Kα, 1.54184 Å).
Peak positions follow from Bragg's law for the DFT cell and can differ from measured ones.

Largest 6 diffraction maxima, in order of rising 2θ, 2θ from 10° to 80°:
| 2theta | I (rel.) | hkl |
| --- | --- | --- |
| 29.7 | 100 | 2 0 -2 |
| 39.1 | 8 | 3 1 0 |
| 42.2 | 20 | 3 3 -1 |
| 42.4 | 19 | 2 0 2 |
| 42.9 | 21 | 1 3 -3 |
| 52.7 | 8 | 2 6 -2 |

Atomic structure:
Cell lengths 7.441, 12.785, 7.286 Å; angles 90.00, 109.37, 90.00 degrees
Space group C2/m (No. 12)
Inequivalent atoms, fractional coordinates:
Dy  0.203  0.000  0.275 (multiplicity 4)
Dy  0.208  0.140  0.710 (multiplicity 8)
Te  0.000  0.181  0.000 (multiplicity 4)
Te  0.000  0.336  0.500 (multiplicity 4)
Te  0.000  0.500  0.000 (multiplicity 2)
C  0.000  0.000  0.500 (multiplicity 2)

For Cs3U2Se3S4, a PBE-relaxed structure gives the computed PXRD pattern in this record (Cu Kα, 1.54184 Å).
Peak positions follow from Bragg's law for the DFT cell and can differ from measured ones.

Largest 6 diffraction maxima, in order of rising 2θ, 2θ from 10° to 80°:
| 2theta | I (rel.) | hkl |
| --- | --- | --- |
| 22.4 | 63 | 0 1 5 |
| 23.1 | 100 | 1 0 5 |
| 23.5 | 94 | 1 1 0 |
| 31.4 | 47 | 0 0 10 |
| 32.5 | 58 | 0 2 0 |
| 40.3 | 49 | 1 2 5 |

Atomic structure:
Cell lengths 5.232, 5.504, 28.527 Å; angles 90.00, 90.00, 90.00 degrees
Space group Immm (No. 71)
Inequivalent atoms, fractional coordinates:
Cs  0.000  0.000  0.000 (multiplicity 2)
Cs  0.000  0.000  0.188 (multiplicity 4)
U  0.000  0.000  0.403 (multiplicity 4)
Se  0.000  0.000  0.500 (multiplicity 2)
Se  0.000  0.500  0.405 (multiplicity 4)
S  0.000  0.000  0.317 (multiplicity 4)
S  0.000  0.500  0.095 (multiplicity 4)